The following is a calculated PXRD pattern of BaMnAlF7. It was derived from a structure optimized by DFT (GGA+U), using Cu Kα, 1.54184 Å.
Kinematic intensities with the Lorentz-polarization factor, no thermal factor.

Largest 10 diffraction maxima, in order of falling intensity, 2θ = 10–90°:
2θ (°), I (rel.)
25.58, 100
43.93, 38
28.18, 28
27.19, 26
41.20, 25
21.75, 24
21.59, 24
30.19, 24
30.43, 22
27.72, 20

a = 13.8830 Å, b = 5.2864 Å, c = 14.7077 Å
α = 90.00°, β = 91.29°, γ = 90.00°
Space group C2/c (No. 15)
Unique sites:
Ba 0.1900 0.0401 0.1217 [8 per cell]
Mn 0.0000 0.4525 0.7500 [4 per cell]
Mn 0.0000 0.5000 0.0000 [4 per cell]
Al 0.1203 0.0065 0.8749 [8 per cell]
F 0.0013 0.1046 0.6565 [8 per cell]
F 0.0597 0.4202 0.1289 [8 per cell]
F 0.0829 0.1676 0.4757 [8 per cell]
F 0.1199 0.2681 0.3010 [8 per cell]
F 0.1286 0.2932 0.9508 [8 per cell]
F 0.1625 0.2094 0.7810 [8 per cell]
F 0.2447 0.0539 0.4095 [8 per cell]

---

The following is a calculated PXRD pattern of Mn2AsO5. It was derived from a structure optimized by DFT (GGA+U), using Cu Kα, 1.54184 Å.
Kinematic intensities with the Lorentz-polarization factor, no thermal factor.

Largest 10 diffraction maxima, in order of falling intensity, 2θ = 10–90°:
2θ (°), I (rel.)
29.04, 100
17.65, 82
20.42, 58
14.40, 48
35.56, 45
35.87, 41
56.15, 40
32.56, 39
60.20, 28
35.97, 27

a = 8.6246 Å, b = 8.7704 Å, c = 6.1490 Å
α = 90.00°, β = 90.00°, γ = 90.00°
Space group Pnnm (No. 58)
Unique sites:
Mn 0.0000 0.0000 0.2403 [4 per cell]
Mn 0.1487 0.3698 0.5000 [4 per cell]
As 0.2377 0.7431 0.5000 [4 per cell]
O 0.0957 0.6068 0.5000 [4 per cell]
O 0.1263 0.9282 0.0000 [4 per cell]
O 0.1333 0.9172 0.5000 [4 per cell]
O 0.1481 0.2289 0.2277 [8 per cell]

---

The following is a calculated PXRD pattern of CaVO2. It was derived from a structure optimized by DFT (GGA+U), using Cu Kα, 1.54184 Å.
Kinematic intensities with the Lorentz-polarization factor, no thermal factor.

Largest 10 diffraction maxima, in order of falling intensity, 2θ = 10–90°:
2θ (°), I (rel.)
36.87, 100
37.25, 98
10.72, 57
42.98, 35
21.54, 34
43.55, 33
30.24, 32
31.04, 30
34.13, 27
59.59, 26

a = 16.4822 Å, b = 3.1030 Å, c = 11.5264 Å
α = 90.00°, β = 134.18°, γ = 90.00°
Space group C2/m (No. 12)
Unique sites:
Ca 0.1214 0.0000 0.4565 [4 per cell]
Ca 0.1642 0.0000 0.7892 [4 per cell]
V 0.0362 0.5000 0.8908 [4 per cell]
V 0.1485 0.0000 0.1834 [4 per cell]
O 0.0305 0.5000 0.7108 [4 per cell]
O 0.1396 0.5000 0.2976 [4 per cell]
O 0.1586 0.0000 0.0143 [4 per cell]
O 0.1810 0.5000 0.6494 [4 per cell]